Tm4NiSe2: calculated X-ray diffraction stick pattern (Cu Kα, 1.54184 Å), based on a crystal structure in Alexandria, relaxed with PBE.
Intensities are scaled so that the largest is 100.

Cell and atoms:
```
Tm4NiSe2
1.0
1.8858 -6.4898 0.0000
1.8858 6.4898 0.0000
0.0000 0.0000 13.7637
Tm Ni Se
8 2 4
direct
0.0000 0.0000 0.0000 Tm
0.0000 0.0000 0.5000 Tm
0.2937 0.7063 0.6299 Tm
0.2937 0.7063 0.8701 Tm
0.4594 0.5406 0.2500 Tm
0.5406 0.4594 0.7500 Tm
0.7063 0.2937 0.1299 Tm
0.7063 0.2937 0.3701 Tm
0.1086 0.8914 0.2500 Ni
0.8914 0.1086 0.7500 Ni
0.3576 0.6424 0.0664 Se
0.3576 0.6424 0.4336 Se
0.6424 0.3576 0.5664 Se
0.6424 0.3576 0.9336 Se
```

Most intense lines, 15 to 90 degrees two-theta, by intensity:
Position (°2θ)  I (rel.)
29.4  100
32.1  57
34.1  57
41.2  56
31.5  50
46.9  34